# 1
Simulated powder XRD pattern of K12Rb6H for Cu Ka, from a structure optimized by DFT (GGA-PBE).
Neutral-atom scattering factors, no anomalous dispersion.

Structure:
```
19
Lattice="7.114 4.107 7.715 -7.114 4.107 7.715 0.000 -8.215 7.715" Properties=species:S:1:pos:R:3 pbc="T T T"
K 0.000 -5.469 5.776
K -4.736 2.735 5.776
K -2.304 -1.330 5.795
K -4.736 -2.735 17.368
K 2.304 -1.330 5.795
K 0.000 2.661 5.795
K 0.000 -2.661 17.348
K -2.304 1.330 17.348
K 4.736 2.735 5.776
K 2.304 1.330 17.348
K 4.736 -2.735 17.368
K 0.000 5.469 17.368
Rb 0.000 -2.597 9.752
Rb -2.249 1.298 9.752
Rb -2.249 -1.298 13.392
Rb 2.249 1.298 9.752
Rb 2.249 -1.298 13.392
Rb 0.000 2.597 13.392
H 0.000 0.000 11.572
```

Principal peaks in the range 10 to 80 degrees two-theta, in order of falling intensity:
two_theta	d (Å)	intensity
24.55	3.625	100
23.06	3.857	26
44.87	2.020	24
21.64	4.107	23
41.43	2.180	22
37.94	2.371	20
31.82	2.812	18
45.72	1.985	16

***

# 2
Simulated powder XRD pattern of BaCo2PbCl8 for Cu Ka, from a structure optimized by DFT (GGA-PBE).
Neutral-atom scattering factors, no anomalous dispersion.

Structure:
```
12
Lattice="7.277 0.000 0.000 -3.638 6.302 0.000 0.000 0.000 9.064" Properties=species:S:1:pos:R:3 pbc="T T T"
Ba 0.000 0.000 0.000
Co 0.000 4.201 1.744
Co 3.638 2.101 7.320
Pb 0.000 0.000 4.532
Cl 0.000 2.053 2.475
Cl -1.860 5.275 2.475
Cl 1.778 1.027 6.589
Cl 0.000 4.201 8.617
Cl 3.638 2.101 0.447
Cl 1.860 5.275 2.475
Cl 5.498 1.027 6.589
Cl 3.638 4.248 6.589
```

Principal peaks in the range 10 to 80 degrees two-theta, in order of falling intensity:
two_theta	d (Å)	intensity
14.05	6.302	100
24.47	3.638	78
24.19	3.679	72
17.14	5.174	68
34.67	2.587	65
31.53	2.837	53
42.90	2.108	37
50.15	1.819	27

***

# 3
Simulated powder XRD pattern of PrZnH8Rh2 for Cu Ka, from a structure optimized by DFT (GGA-PBE).
Neutral-atom scattering factors, no anomalous dispersion.

Structure:
```
12
Lattice="2.363 1.364 5.621 -2.363 1.364 5.621 0.000 -2.729 5.621" Properties=species:S:1:pos:R:3 pbc="T T T"
Pr 0.000 0.000 0.000
Zn 0.000 0.000 8.431
H -1.700 0.190 7.575
H -1.015 -1.377 9.288
H 0.000 0.000 5.156
H 0.685 -1.568 7.575
H -0.685 1.568 9.288
H 0.000 0.000 11.707
H 1.015 1.377 7.575
H 1.700 -0.190 9.288
Rh 0.000 0.000 3.448
Rh 0.000 0.000 13.415
```

Principal peaks in the range 10 to 80 degrees two-theta, in order of falling intensity:
two_theta	d (Å)	intensity
38.08	2.363	100
30.44	2.937	92
34.46	2.603	56
22.35	3.978	38
50.45	1.809	30
59.26	1.559	28
49.51	1.841	24
64.11	1.452	21

***

# 4
Simulated powder XRD pattern of BeTlSbTe2 for Cu Ka, from a structure optimized by DFT (GGA-PBE).
Neutral-atom scattering factors, no anomalous dispersion.

Structure:
```
5
Lattice="5.392 0.000 0.000 0.000 5.392 0.000 0.000 0.000 4.762" Properties=species:S:1:pos:R:3 pbc="T T T"
Be 0.000 0.000 0.000
Tl 2.696 2.696 2.381
Sb 0.000 0.000 2.381
Te 0.000 2.696 0.000
Te 2.696 0.000 0.000
```

Principal peaks in the range 10 to 80 degrees two-theta, in order of falling intensity:
two_theta	d (Å)	intensity
30.03	2.976	100
33.23	2.696	40
57.41	1.605	32
51.19	1.784	24
47.71	1.906	15
37.79	2.381	14
62.41	1.488	13
63.49	1.465	12

***

# 5
Simulated powder XRD pattern of Ho3IrRh for Cu Ka, from a structure optimized by DFT (GGA-PBE).
Neutral-atom scattering factors, no anomalous dispersion.

Structure:
```
20
Lattice="9.020 -4.224 0.000 9.020 4.224 0.000 -2.283 0.000 6.043" Properties=species:S:1:pos:R:3 pbc="T T T"
Ho 1.226 0.298 5.612
Ho 5.976 2.154 5.746
Ho 2.367 -0.298 2.590
Ho 5.515 0.907 2.354
Ho 8.640 2.154 3.318
Ho 4.374 -0.907 5.375
Ho 11.383 0.907 0.668
Ho 7.117 -2.154 2.725
Ho 10.242 -0.907 3.689
Ho 13.389 0.298 3.452
Ho 9.781 -2.154 0.296
Ho 14.531 -0.298 0.431
Ir 3.491 1.685 4.466
Ir 4.632 -1.685 1.445
Ir 11.125 1.685 4.598
Ir 12.266 -1.685 1.577
Rh 8.449 4.197 1.511
Rh 8.449 0.001 1.511
Rh 7.308 -0.001 4.532
Rh 7.308 -4.197 4.532
```

Principal peaks in the range 10 to 80 degrees two-theta, in order of falling intensity:
two_theta	d (Å)	intensity
36.39	2.469	100
34.97	2.566	91
36.49	2.462	56
33.78	2.653	43
29.81	2.997	40
35.66	2.518	29
48.16	1.890	27
38.45	2.341	26

***

# 6
Simulated powder XRD pattern of NaIn4SnSe8 for Cu Ka, from a structure optimized by DFT (GGA-PBE).
Neutral-atom scattering factors, no anomalous dispersion.

Structure:
```
14
Lattice="4.145 2.393 6.710 -4.145 2.393 6.710 0.000 -4.787 6.710" Properties=species:S:1:pos:R:3 pbc="T T T"
Na 0.000 0.000 0.000
In -2.171 -1.253 9.204
In 0.000 0.000 5.016
In 2.171 -1.253 9.204
In 0.000 2.507 9.204
Sn 0.000 0.000 12.724
Se 0.000 -2.222 10.835
Se -1.924 1.111 10.835
Se 0.000 0.000 7.772
Se -1.916 -1.106 14.347
Se 1.924 1.111 10.835
Se 0.000 0.000 17.414
Se 1.916 -1.106 14.346
Se 0.000 2.212 14.346
```

Principal peaks in the range 10 to 80 degrees two-theta, in order of falling intensity:
two_theta	d (Å)	intensity
30.59	2.923	100
43.67	2.073	61
43.94	2.061	59
25.24	3.529	54
40.04	2.252	39
13.09	6.763	32
25.36	3.512	19
54.26	1.691	18

***

# 7
Simulated powder XRD pattern of Pm2MnVN5 for Cu Ka, from a structure optimized by DFT (GGA-PBE).
Neutral-atom scattering factors, no anomalous dispersion.

Structure:
```
18
Lattice="1.647 -6.912 0.000 1.647 6.912 0.000 0.000 0.000 9.906" Properties=species:S:1:pos:R:3 pbc="T T T"
Pm 1.647 5.254 4.953
Pm 1.647 5.074 1.334
Pm 1.647 -5.074 6.287
Pm 1.647 -5.254 0.000
Mn 1.647 3.987 8.398
Mn 1.647 -3.987 3.445
V 1.647 0.869 2.706
V 1.647 -0.869 7.659
N 1.647 6.236 8.526
N 1.647 2.878 4.693
N 1.647 2.591 2.079
N 1.647 2.129 8.199
N 1.647 0.027 1.175
N 1.647 -0.027 6.128
N 1.647 -2.129 3.246
N 1.647 -2.591 7.032
N 1.647 -2.878 9.646
N 1.647 -6.236 3.573
```

Principal peaks in the range 10 to 80 degrees two-theta, in order of falling intensity:
two_theta	d (Å)	intensity
29.99	2.980	100
39.18	2.300	75
25.78	3.456	45
33.44	2.680	45
33.30	2.690	40
31.57	2.834	38
34.68	2.587	31
27.84	3.204	30

***

# 8
Simulated powder XRD pattern of Nd2P4Pd3 for Cu Ka, from a structure optimized by DFT (GGA-PBE).
Neutral-atom scattering factors, no anomalous dispersion.

Structure:
```
18
Lattice="2.848 -7.693 0.000 2.848 7.693 0.000 0.000 0.000 7.360" Properties=species:S:1:pos:R:3 pbc="T T T"
Nd 2.848 5.950 6.734
Nd 2.848 1.743 3.054
Nd 2.848 -1.743 4.305
Nd 2.848 -5.950 0.625
P 2.848 4.696 4.004
P 1.424 0.754 5.520
P 1.424 -0.754 1.840
P 2.848 2.997 0.324
P 2.848 -2.997 7.036
P 4.273 0.754 5.520
P 4.273 -0.754 1.840
P 2.848 -4.696 3.356
Pd 0.000 0.000 3.680
Pd 1.424 3.249 5.520
Pd 1.424 -3.249 1.840
Pd 2.848 0.000 0.000
Pd 4.273 3.249 5.520
Pd 4.273 -3.249 1.840
```

Principal peaks in the range 10 to 80 degrees two-theta, in order of falling intensity:
two_theta	d (Å)	intensity
35.32	2.541	100
40.03	2.252	75
35.76	2.511	54
38.52	2.337	52
26.33	3.385	50
37.13	2.422	43
33.86	2.647	38
26.86	3.320	34

***

# 9
Simulated powder XRD pattern of Ca2InAsPd6 for Cu Ka, from a structure optimized by DFT (GGA-PBE).
Neutral-atom scattering factors, no anomalous dispersion.

Structure:
```
10
Lattice="0.000 4.857 4.857 4.857 0.000 4.857 4.857 4.857 0.000" Properties=species:S:1:pos:R:3 pbc="T T T"
Ca 2.429 2.429 2.429
Ca 7.286 7.286 7.286
In 0.000 0.000 0.000
As 4.857 4.857 4.857
Pd 4.857 4.857 2.533
Pd 4.857 2.533 4.857
Pd 7.181 4.857 4.857
Pd 2.533 4.857 4.857
Pd 4.857 7.181 4.857
Pd 4.857 4.857 7.181
```

Principal peaks in the range 10 to 80 degrees two-theta, in order of falling intensity:
two_theta	d (Å)	intensity
37.01	2.429	100
18.26	4.857	75
31.91	2.804	68
53.35	1.717	67
41.57	2.172	35
63.52	1.465	25
66.71	1.402	22
56.87	1.619	17

***

# 10
Simulated powder XRD pattern of Er5AlCu2 for Cu Ka, from a structure optimized by DFT (GGA-PBE).
Neutral-atom scattering factors, no anomalous dispersion.

Structure:
```
16
Lattice="-3.859 3.859 6.455 3.859 -3.859 6.455 3.859 3.859 -6.455" Properties=species:S:1:pos:R:3 pbc="T T T"
Er 0.000 0.000 0.000
Er 5.087 1.228 -1.867
Er 1.228 2.630 -1.867
Er 5.087 1.228 1.867
Er 1.228 2.630 1.867
Er 0.000 0.000 6.455
Er 2.630 1.228 4.588
Er -1.228 2.630 4.588
Er 2.630 1.228 8.322
Er -1.228 2.630 8.322
Al 0.000 0.000 3.227
Al 0.000 0.000 9.682
Cu 2.883 0.975 0.000
Cu 2.883 -0.975 6.455
Cu 0.975 4.834 0.000
Cu 0.975 2.883 6.455
```

Principal peaks in the range 10 to 80 degrees two-theta, in order of falling intensity:
two_theta	d (Å)	intensity
33.28	2.692	100
36.83	2.440	46
26.74	3.334	25
36.29	2.476	23
57.07	1.614	18
58.22	1.585	15
69.08	1.360	15
32.22	2.778	15

***

# 11
Simulated powder XRD pattern of UAl2GaNi4 for Cu Ka, from a structure optimized by DFT (GGA-PBE).
Neutral-atom scattering factors, no anomalous dispersion.

Structure:
```
8
Lattice="2.028 1.171 8.036 -2.028 1.171 8.036 0.000 -2.342 8.036" Properties=species:S:1:pos:R:3 pbc="T T T"
U 0.000 0.000 0.000
Al 0.000 0.000 5.781
Al 0.000 0.000 18.329
Ga 0.000 0.000 12.055
Ni 0.000 0.000 3.141
Ni 0.000 0.000 9.605
Ni 0.000 0.000 14.504
Ni 0.000 0.000 20.968
```

Principal peaks in the range 10 to 80 degrees two-theta, in order of falling intensity:
two_theta	d (Å)	intensity
39.39	2.287	100
44.67	2.028	96
26.42	3.373	78
31.51	2.840	34
36.53	2.460	34
45.64	1.988	29
61.06	1.518	27
78.75	1.215	26

***

# 12
Simulated powder XRD pattern of Na4Er3MnS8 for Cu Ka, from a structure optimized by DFT (GGA-PBE).
Neutral-atom scattering factors, no anomalous dispersion.

Structure:
```
16
Lattice="3.870 2.234 6.670 -3.870 2.234 6.670 0.000 -4.469 6.670" Properties=species:S:1:pos:R:3 pbc="T T T"
Na 0.000 0.000 0.000
Na -1.935 -1.117 6.670
Na -1.935 1.117 13.339
Na 0.000 2.234 6.670
Er -3.870 0.000 10.004
Er -1.935 1.117 3.335
Er 1.935 1.117 3.335
Mn 0.000 0.000 10.004
S 0.000 0.000 4.853
S -1.832 -1.058 11.456
S 0.000 -2.115 8.553
S -1.832 1.058 8.553
S 1.832 -1.058 11.456
S 0.000 2.115 11.456
S 1.832 1.058 8.553
S 0.000 0.000 15.156
```

Principal peaks in the range 10 to 80 degrees two-theta, in order of falling intensity:
two_theta	d (Å)	intensity
32.15	2.784	100
13.27	6.670	85
26.97	3.306	36
45.24	2.005	35
46.95	1.935	33
28.08	3.178	25
49.02	1.858	20
41.52	2.175	19